Simulated PXRD pattern of PrTiAs2 for copper Kα, from a crystal structure in Alexandria, relaxed with GGA-PBE.
Neutral-atom scattering factors, no anomalous dispersion.

Atomic structure:
```
data_PrTiAs2
_chemical_formula_sum 'Pr3 Ti3 As6'
_symmetry_space_group_name_H-M 'R -3 m'
_symmetry_Int_Tables_number 166
_symmetry_space_group_name_Hall '-R 3 2"'
_cell_length_a 3.9699
_cell_length_b 3.9699
_cell_length_c 19.5651
_cell_angle_alpha 90.00
_cell_angle_beta 90.00
_cell_angle_gamma 120.00
loop_
_atom_site_label
_atom_site_fract_x
_atom_site_fract_y
_atom_site_fract_z
_atom_site_occupancy
Pr1 0.0000 0.0000 0.0000 1
Ti1 0.0000 0.0000 0.5000 1
As1 0.0000 0.0000 0.2360 1
```

Largest 12 diffraction maxima, most intense first, 2θ from 5° to 70°:
hkl 1 0 4, 31.8 deg, d = 2.813 Å, rel. 100.0; hkl 1 1 0, 45.7 deg, d = 1.985 Å, rel. 38.0; hkl 0 1 8, 45.5 deg, d = 1.993 Å, rel. 30.7; hkl 0 2 4, 56.8 deg, d = 1.622 Å, rel. 18.6; hkl 0 1 5, 34.7 deg, d = 2.583 Å, rel. 18.0; hkl 1 0 1, 26.3 deg, d = 3.386 Å, rel. 16.6; hkl 1 1 9, 63.5 deg, d = 1.466 Å, rel. 10.4; hkl 2 0 8, 66.5 deg, d = 1.406 Å, rel. 9.6; hkl 0 0 9, 41.5 deg, d = 2.174 Å, rel. 6.0; hkl 0 0 3, 13.6 deg, d = 6.522 Å, rel. 5.7; hkl 1 0 13, 68.0 deg, d = 1.379 Å, rel. 5.6; hkl 2 0 5, 58.7 deg, d = 1.574 Å, rel. 4.1